This entry pairs a crystal structure of Tc4Ru2Rh3 with its calculated X-ray powder pattern. Radiation: Cu Kα X-rays. Structure: a GGA-PBE-relaxed structure.
Kinematic intensities with the Lorentz-polarization factor, no thermal factor.

Structural model:
```
18
Lattice="6.252 -4.541 0.000 6.252 4.541 0.000 -0.725 0.000 4.625" Properties=species:S:1:pos:R:3 pbc="T T T"
Tc 4.773 3.560 4.381
Tc 6.643 3.560 2.557
Tc 4.455 1.014 3.287
Tc 6.961 1.014 3.651
Tc 4.818 -1.014 0.974
Tc 7.323 -1.014 1.339
Tc 5.135 -3.560 2.068
Tc 7.006 -3.560 0.244
Ru 3.301 0.945 0.582
Ru 2.938 -0.945 2.895
Ru 8.840 0.945 1.731
Ru 8.478 -0.945 4.043
Rh 1.631 1.420 2.723
Rh 1.994 -1.420 0.410
Rh 6.070 1.419 1.156
Rh 5.708 -1.419 3.469
Rh 9.785 1.420 4.215
Rh 10.147 -1.420 1.903
```

Main lines, by angle (2θ = 15–90°):
two_theta  I/Imax
36.8  22
39.7  100
39.9  57
42.6  85
45.9  11
49.3  52
65.0  15
69.1  11
69.2  10
73.9  17
78.4  8
82.7  10